The following is a calculated powder X-ray diffraction pattern of K2Li2CoO4. It was derived from a DFT-relaxed cell (GGA+U, Alexandria), using Cu Ka.
Neutral-atom scattering factors, no anomalous dispersion.

Atomic structure:
```
K2Li2CoO4
1.0
5.4892 0.0000 0.0000
0.0000 9.3361 0.0000
-4.1264 0.0000 10.3342
K Li Co O
8 8 4 16
direct
0.1740 0.0006 0.3689
0.1740 0.4994 0.8689
0.3253 0.2162 0.1587
0.3253 0.2838 0.6587
0.6747 0.7162 0.3413
0.6747 0.7838 0.8413
0.8260 0.5006 0.1311
0.8260 0.9994 0.6311
0.0930 0.7458 0.6846
0.0930 0.7542 0.1846
0.1476 0.0156 0.9306
0.1476 0.4844 0.4306
0.8524 0.5156 0.5694
0.8524 0.9844 0.0694
0.9070 0.2458 0.8154
0.9070 0.2542 0.3154
0.3622 0.7115 0.5440
0.3622 0.7885 0.0440
0.6378 0.2115 0.9560
0.6378 0.2885 0.4560
0.2009 0.6897 0.3692
0.2009 0.8103 0.8692
0.2237 0.5728 0.6158
0.2237 0.9272 0.1158
0.2697 0.6236 0.0968
0.2697 0.8764 0.5968
0.2830 0.2031 0.9017
0.2830 0.2969 0.4017
0.7170 0.7031 0.5983
0.7170 0.7969 0.0983
0.7303 0.1236 0.4032
0.7303 0.3764 0.9032
0.7763 0.0728 0.8842
0.7763 0.4272 0.3842
0.7991 0.1897 0.1308
0.7991 0.3103 0.6308
```

The 10 most intense peaks (10° ≤ 2θ ≤ 90°), low angle first:
Position (°2θ)  I_rel
19.01  89
21.63  97
25.88  91
29.99  89
32.92  55
33.95  55
34.73  100
35.21  53
36.07  73
44.22  59